1.
Structure and computed powder diffraction line list of Rb3P11 (a cell relaxed with GGA-PBE; CuKα).
Intensities are scaled so that the largest is 100.

Main lines, sorted by position (2θ from 10° to 90°):
h k l	2theta	I/Imax
1 1 1	12.8	31.9
2 2 0	20.0	100.0
0 2 2	20.3	44.8
1 2 2	21.7	67.7
3 1 1	25.8	70.2
1 1 3	26.1	33.7
2 4 0	29.5	28.8
1 4 2	30.7	40.7
3 2 2	31.3	58.6
1 0 4	33.3	28.1

Structure:
abc: 11.268 14.366 11.072
angles: 90.00 90.00 90.00
Space group Pbcn (No. 60)
Asymmetric unit:
1 Rb 0.000 0.218 0.250 [4 per cell]
2 Rb 0.232 0.495 0.071 [8 per cell]
3 P 0.000 0.026 0.750 [4 per cell]
4 P 0.014 0.338 0.518 [8 per cell]
5 P 0.073 0.126 0.877 [8 per cell]
6 P 0.077 0.367 0.813 [8 per cell]
7 P 0.089 0.206 0.574 [8 per cell]
8 P 0.168 0.232 0.760 [8 per cell]

=====

2.
Structure and computed powder diffraction line list of Pr3Ho (a cell relaxed with GGA-PBE; CuKα).
Intensities are scaled so that the largest is 100.

Main lines, sorted by position (2θ from 10° to 90°):
h k l	2theta	I/Imax
2 0 0	28.0	23.1
0 0 2	29.7	26.6
2 0 1	31.7	100.0
2 0 2	41.2	16.3
2 2 0	49.5	19.3
2 0 3	54.0	22.4
2 2 2	58.8	23.0
4 0 1	60.0	16.3
4 2 1	81.4	13.5
2 2 4	82.8	8.7

Structure:
abc: 7.3658 7.3658 6.0253
angles: 90.00 90.00 120.00
Space group P6_3/mmc (No. 194)
Asymmetric unit:
1 Pr 0.1681 0.3361 0.2500 [6 per cell]
2 Ho 0.3333 0.6667 0.7500 [2 per cell]

=====

3.
Structure and computed powder diffraction line list of Fe2Si (a cell relaxed with GGA-PBE; CuKα).
Intensities are scaled so that the largest is 100.

Main lines, sorted by position (2θ from 10° to 90°):
h k l	2theta	I/Imax
0 0 1	10.6	6.8
1 0 0	32.0	6.3
0 0 3	32.2	3.0
1 0 1	33.8	3.7
1 1 0	45.9	51.0
1 0 3	46.1	100.0
2 0 0	66.9	15.1
0 0 6	67.4	7.2
2 1 3	85.0	30.0
1 1 6	85.4	14.5

Structure:
abc: 2.797 2.797 8.332
angles: 90.00 90.00 90.00
Space group P4/mmm (No. 123)
Asymmetric unit:
1 Fe 0.000 0.000 0.000 [1 per cell]
2 Fe 0.000 0.000 0.326 [2 per cell]
3 Fe 0.500 0.500 0.500 [1 per cell]
4 Si 0.500 0.500 0.168 [2 per cell]